Diffraction record for Rb2CeCuCl6. The PXRD pattern is computed, not measured: it uses a cell relaxed with PBE and Cu Kα X-rays.
Intensities are scaled so that the largest is 100.

Lattice parameters (Å, degrees): 7.8806 9.6433 8.5136 90.00 90.00 90.00
Fractional positions:
1 Rb 0.2500 0.0092 0.1796
2 Rb 0.2500 0.4908 0.1796
3 Rb 0.7500 0.5092 0.8204
4 Rb 0.7500 0.9908 0.8204
5 Ce 0.2500 0.2500 0.7248
6 Ce 0.7500 0.7500 0.2752
7 Cu 0.2500 0.7500 0.6455
8 Cu 0.7500 0.2500 0.3545
9 Cl 0.0074 0.2500 0.4923
10 Cl 0.0090 0.2500 0.9575
11 Cl 0.2500 0.5345 0.7655
12 Cl 0.2500 0.9655 0.7655
13 Cl 0.4910 0.2500 0.9575
14 Cl 0.4926 0.2500 0.4923
15 Cl 0.5074 0.7500 0.5077
16 Cl 0.5090 0.7500 0.0425
17 Cl 0.7500 0.0345 0.2345
18 Cl 0.7500 0.4655 0.2345
19 Cl 0.9910 0.7500 0.0425
20 Cl 0.9926 0.7500 0.5077

Most intense lines, 2θ = 10–80°, low angle first:
- d = 5.783 Å, 2θ = 15.32°, intensity 24
- d = 4.196 Å, 2θ = 21.18°, intensity 19
- d = 3.940 Å, 2θ = 22.57°, intensity 35
- d = 3.745 Å, 2θ = 23.76°, intensity 34
- d = 3.703 Å, 2θ = 24.03°, intensity 100
- d = 2.892 Å, 2θ = 30.92°, intensity 72
- d = 2.411 Å, 2θ = 37.30°, intensity 32
- d = 2.238 Å, 2θ = 40.30°, intensity 19
- d = 2.226 Å, 2θ = 40.52°, intensity 28
- d = 2.078 Å, 2θ = 43.55°, intensity 31
- d = 2.056 Å, 2θ = 44.05°, intensity 19
- d = 1.852 Å, 2θ = 49.21°, intensity 32

=====

Diffraction record for CeTl3Cu2Cl9. The PXRD pattern is computed, not measured: it uses a cell relaxed with PBE and Cu Kα X-rays.
Intensities are scaled so that the largest is 100.

Lattice parameters (Å, degrees): 7.2140 7.2140 9.0766 90.00 90.00 120.00
Fractional positions:
1 Ce 0.0000 0.0000 0.0000
2 Tl 0.0000 0.0000 0.5000
3 Tl 0.3333 0.6667 0.2356
4 Tl 0.6667 0.3333 0.7644
5 Cu 0.3333 0.6667 0.6489
6 Cu 0.6667 0.3333 0.3511
7 Cl 0.0000 0.5000 0.5000
8 Cl 0.1709 0.3417 0.8218
9 Cl 0.1709 0.8291 0.8218
10 Cl 0.3417 0.1709 0.1782
11 Cl 0.5000 0.0000 0.5000
12 Cl 0.5000 0.5000 0.5000
13 Cl 0.6583 0.8291 0.8218
14 Cl 0.8291 0.1709 0.1782
15 Cl 0.8291 0.6583 0.1782

Most intense lines, 2θ = 10–80°, low angle first:
- d = 5.146 Å, 2θ = 17.23°, intensity 26
- d = 3.672 Å, 2θ = 24.24°, intensity 94
- d = 3.607 Å, 2θ = 24.68°, intensity 100
- d = 2.954 Å, 2θ = 30.26°, intensity 44
- d = 2.723 Å, 2θ = 32.89°, intensity 22
- d = 2.573 Å, 2θ = 34.87°, intensity 90
- d = 2.173 Å, 2θ = 41.55°, intensity 15
- d = 2.095 Å, 2θ = 43.19°, intensity 41
- d = 2.082 Å, 2θ = 43.45°, intensity 23
- d = 1.921 Å, 2θ = 47.33°, intensity 21
- d = 1.803 Å, 2θ = 50.61°, intensity 34
- d = 1.619 Å, 2θ = 56.88°, intensity 19

=====

Diffraction record for CeTlCu2Cl8. The PXRD pattern is computed, not measured: it uses a cell relaxed with PBE and Cu Kα X-rays.
Intensities are scaled so that the largest is 100.

Lattice parameters (Å, degrees): 6.4145 6.4171 9.3064 89.85 89.91 73.96
Fractional positions:
1 Ce 0.0000 0.0000 0.0000
2 Tl 0.0000 0.0000 0.5000
3 Cu 0.4998 0.4987 0.3386
4 Cu 0.5002 0.5013 0.6614
5 Cl 0.2395 0.7619 0.2166
6 Cl 0.2409 0.7638 0.7835
7 Cl 0.2451 0.2480 0.0003
8 Cl 0.3303 0.3340 0.5012
9 Cl 0.6697 0.6660 0.4988
10 Cl 0.7549 0.7520 0.9997
11 Cl 0.7591 0.2362 0.2165
12 Cl 0.7605 0.2381 0.7834

Most intense lines, 2θ = 10–80°, low angle first:
- d = 6.166 Å, 2θ = 14.36°, intensity 31
- d = 5.126 Å, 2θ = 17.30°, intensity 100
- d = 4.653 Å, 2θ = 19.07°, intensity 24
- d = 3.859 Å, 2θ = 23.05°, intensity 42
- d = 3.714 Å, 2θ = 23.96°, intensity 83
- d = 2.970 Å, 2θ = 30.08°, intensity 58
- d = 2.594 Å, 2θ = 34.58°, intensity 54
- d = 2.570 Å, 2θ = 34.91°, intensity 22
- d = 2.563 Å, 2θ = 35.01°, intensity 27
- d = 2.199 Å, 2θ = 41.05°, intensity 25
- d = 2.177 Å, 2θ = 41.48°, intensity 25
- d = 1.880 Å, 2θ = 48.41°, intensity 24

=====

Diffraction record for CeDy2Cl. The PXRD pattern is computed, not measured: it uses a cell relaxed with PBE and Cu Kα X-rays.
Intensities are scaled so that the largest is 100.

Lattice parameters (Å, degrees): 3.5742 3.5742 29.5902 90.00 90.00 120.00
Fractional positions:
1 Ce 0.0000 0.0000 0.0000
2 Ce 0.3333 0.6667 0.6667
3 Ce 0.6667 0.3333 0.3333
4 Dy 0.0000 0.0000 0.2403
5 Dy 0.0000 0.0000 0.7597
6 Dy 0.3333 0.6667 0.4264
7 Dy 0.3333 0.6667 0.9069
8 Dy 0.6667 0.3333 0.0931
9 Dy 0.6667 0.3333 0.5736
10 Cl 0.0000 0.0000 0.5000
11 Cl 0.3333 0.6667 0.1667
12 Cl 0.6667 0.3333 0.8333

Most intense lines, 2θ = 10–80°, low angle first:
- d = 3.288 Å, 2θ = 27.12°, intensity 15
- d = 3.030 Å, 2θ = 29.48°, intensity 10
- d = 2.855 Å, 2θ = 31.33°, intensity 100
- d = 2.743 Å, 2θ = 32.65°, intensity 15
- d = 2.466 Å, 2θ = 36.44°, intensity 16
- d = 2.374 Å, 2θ = 37.90°, intensity 53
- d = 1.834 Å, 2θ = 49.72°, intensity 13
- d = 1.787 Å, 2θ = 51.11°, intensity 26
- d = 1.570 Å, 2θ = 58.81°, intensity 11
- d = 1.515 Å, 2θ = 61.18°, intensity 15
- d = 1.447 Å, 2θ = 64.38°, intensity 18
- d = 1.428 Å, 2θ = 65.36°, intensity 11

=====

Diffraction record for CeFe3Cl12. The PXRD pattern is computed, not measured: it uses a cell relaxed with PBE and Cu Kα X-rays.
Intensities are scaled so that the largest is 100.

Lattice parameters (Å, degrees): 12.3612 12.3612 12.3612 51.79 51.79 51.79
Fractional positions:
1 Ce 0.0000 0.0000 0.0000
2 Ce 0.5000 0.5000 0.5000
3 Fe 0.1006 0.3498 0.7083
4 Fe 0.2083 0.8498 0.6006
5 Fe 0.3498 0.7083 0.1006
6 Fe 0.6006 0.2083 0.8498
7 Fe 0.7083 0.1006 0.3498
8 Fe 0.8498 0.6006 0.2083
9 Cl 0.0619 0.4756 0.0838
10 Cl 0.0838 0.0619 0.4756
11 Cl 0.1533 0.1589 0.6786
12 Cl 0.1589 0.6786 0.1533
13 Cl 0.1618 0.8264 0.8195
14 Cl 0.1786 0.6589 0.6533
15 Cl 0.2806 0.9542 0.9606
16 Cl 0.3195 0.3264 0.6618
17 Cl 0.3264 0.6618 0.3195
18 Cl 0.4542 0.7806 0.4606
19 Cl 0.4606 0.4542 0.7806
20 Cl 0.4756 0.0838 0.0619
21 Cl 0.5619 0.5838 0.9756
22 Cl 0.5838 0.9756 0.5619
23 Cl 0.6533 0.1786 0.6589
24 Cl 0.6589 0.6533 0.1786
25 Cl 0.6618 0.3195 0.3264
26 Cl 0.6786 0.1533 0.1589
27 Cl 0.7806 0.4606 0.4542
28 Cl 0.8195 0.1618 0.8264
29 Cl 0.8264 0.8195 0.1618
30 Cl 0.9542 0.9606 0.2806
31 Cl 0.9606 0.2806 0.9542
32 Cl 0.9756 0.5619 0.5838

Most intense lines, 2θ = 10–80°, low angle first:
- d = 8.074 Å, 2θ = 10.96°, intensity 100
- d = 6.081 Å, 2θ = 14.57°, intensity 20
- d = 5.337 Å, 2θ = 16.61°, intensity 18
- d = 4.817 Å, 2θ = 18.42°, intensity 31
- d = 4.037 Å, 2θ = 22.02°, intensity 14
- d = 3.795 Å, 2θ = 23.44°, intensity 18
- d = 3.117 Å, 2θ = 28.64°, intensity 14
- d = 3.041 Å, 2θ = 29.37°, intensity 13
- d = 2.694 Å, 2θ = 33.26°, intensity 23
- d = 2.649 Å, 2θ = 33.84°, intensity 24
- d = 2.408 Å, 2θ = 37.34°, intensity 16
- d = 2.072 Å, 2θ = 43.69°, intensity 12

=====

Diffraction record for Ce10Ge3Cl3. The PXRD pattern is computed, not measured: it uses a cell relaxed with PBE and Cu Kα X-rays.
Intensities are scaled so that the largest is 100.

Lattice parameters (Å, degrees): 8.7654 8.7654 6.0590 90.00 90.00 120.00
Fractional positions:
1 Ce 0.0000 0.2664 0.0000
2 Ce 0.0000 0.7365 0.5000
3 Ce 0.2635 0.2635 0.5000
4 Ce 0.2664 0.0000 0.0000
5 Ce 0.3333 0.6667 0.2586
6 Ce 0.3333 0.6667 0.7414
7 Ce 0.6667 0.3333 0.2586
8 Ce 0.6667 0.3333 0.7414
9 Ce 0.7336 0.7336 0.0000
10 Ce 0.7365 0.0000 0.5000
11 Ge 0.0000 0.3814 0.5000
12 Ge 0.3814 0.0000 0.5000
13 Ge 0.6186 0.6186 0.5000
14 Cl 0.0000 0.6307 0.0000
15 Cl 0.3693 0.3693 0.0000
16 Cl 0.6307 0.0000 0.0000

Most intense lines, 2θ = 10–80°, low angle first:
- d = 3.796 Å, 2θ = 23.44°, intensity 26
- d = 3.551 Å, 2θ = 25.08°, intensity 27
- d = 2.869 Å, 2θ = 31.17°, intensity 35
- d = 2.814 Å, 2θ = 31.80°, intensity 27
- d = 2.593 Å, 2θ = 34.59°, intensity 77
- d = 2.530 Å, 2θ = 35.48°, intensity 75
- d = 2.492 Å, 2θ = 36.04°, intensity 100
- d = 1.776 Å, 2θ = 51.47°, intensity 30
- d = 1.674 Å, 2θ = 54.85°, intensity 21
- d = 1.652 Å, 2θ = 55.65°, intensity 19
- d = 1.608 Å, 2θ = 57.29°, intensity 23
- d = 1.300 Å, 2θ = 72.76°, intensity 18